# 1
Ba2Tl2Zn2Cu3O10: simulated X-ray diffraction stick pattern (Cu Kα), based on a DFT-relaxed cell (GGA-PBE, Alexandria).
Lines closer than 0.1° are merged.

Atomic structure:
```
data_Ba2Tl2Zn2Cu3O10
_space_group_name_H-M_alt 'P 1'
_space_group_IT_number 1
_cell_length_a 3.7263
_cell_length_b 3.7335
_cell_length_c 19.4772
_cell_angle_alpha 95.50
_cell_angle_beta 95.47
_cell_angle_gamma 90.00
loop_
_space_group_symop_operation_xyz
'x,y,z'
loop_
_atom_site_label
_atom_site_type_symbol
_atom_site_fract_x
_atom_site_fract_y
_atom_site_fract_z
Ba1 Ba 0.0000 0.0000 0.0000
Ba2 Ba 0.2872 0.2826 0.5684
Tl1 Tl 0.4241 0.3897 0.8468
Tl2 Tl 0.8622 0.8273 0.7218
Zn1 Zn 0.1025 0.0999 0.1965
Zn2 Zn 0.1923 0.1867 0.3716
Cu1 Cu 0.5619 0.5628 0.1223
Cu2 Cu 0.6480 0.6435 0.2840
Cu3 Cu 0.7293 0.7225 0.4459
O1 O 0.0734 0.5743 0.1451
O2 O 0.1655 0.6608 0.3194
O3 O 0.2411 0.7336 0.4697
O4 O 0.3682 0.4152 0.7349
O5 O 0.4780 0.4817 0.9560
O6 O 0.5490 0.0511 0.0988
O7 O 0.6290 0.1259 0.2490
O8 O 0.7180 0.2111 0.4231
O9 O 0.8086 0.8094 0.6126
O10 O 0.9174 0.9651 0.8338
```

Most intense lines, 10° ≤ 2θ ≤ 90°, in order of falling intensity:
28.9°, intensity 100.0
34.0°, intensity 83.3
31.8°, intensity 60.1
48.8°, intensity 41.2
26.5°, intensity 32.8
47.7°, intensity 30.2
57.7°, intensity 29.8
32.5°, intensity 25.7
55.8°, intensity 21.8
38.8°, intensity 19.9
35.1°, intensity 13.8
59.5°, intensity 13.1

# 2
La5Sm2In: simulated X-ray diffraction stick pattern (Cu Kα), based on a DFT-relaxed cell (GGA-PBE, Alexandria).
Lines closer than 0.1° are merged.

Atomic structure:
```
data_La5Sm2In
_space_group_name_H-M_alt 'P b a m'
_space_group_IT_number 55
_cell_length_a 7.3000
_cell_length_b 14.7903
_cell_length_c 4.9972
_cell_angle_alpha 90.00
_cell_angle_beta 90.00
_cell_angle_gamma 90.00
loop_
_space_group_symop_operation_xyz
'x,y,z'
'-x,-y,-z'
'-x,-y,z'
'x,y,-z'
'x+1/2,-y+1/2,-z'
'-x+1/2,y+1/2,z'
'-x+1/2,y+1/2,-z'
'x+1/2,-y+1/2,z'
loop_
_atom_site_label
_atom_site_type_symbol
_atom_site_fract_x
_atom_site_fract_y
_atom_site_fract_z
La1 La 0.0000 0.0000 0.0000
La2 La 0.0029 0.2586 0.0000
La3 La 0.2499 0.3767 0.5000
Sm1 Sm 0.2365 0.6167 0.5000
In1 In 0.0000 0.5000 0.0000
```

Most intense lines, 10° ≤ 2θ ≤ 90°, in order of falling intensity:
30.1°, intensity 100.0
30.3°, intensity 99.3
34.5°, intensity 68.6
50.7°, intensity 46.0
35.9°, intensity 31.8
59.4°, intensity 27.7
59.0°, intensity 27.1
61.0°, intensity 13.4
61.2°, intensity 13.3
50.0°, intensity 12.0
63.1°, intensity 11.9
49.3°, intensity 11.8

# 3
La3Pm3ErS8: simulated X-ray diffraction stick pattern (Cu Kα), based on a DFT-relaxed cell (GGA-PBE, Alexandria).
Lines closer than 0.1° are merged.

Atomic structure:
```
data_La3Pm3ErS8
_space_group_name_H-M_alt 'R -3 m'
_space_group_IT_number 166
_space_group_name_Hall '-R 3 2"'
_cell_length_a 8.1065
_cell_length_b 8.1065
_cell_length_c 20.1693
_cell_angle_alpha 90.00
_cell_angle_beta 90.00
_cell_angle_gamma 120.00
loop_
_atom_site_label
_atom_site_type_symbol
_atom_site_fract_x
_atom_site_fract_y
_atom_site_fract_z
La1 La 0.0000 0.5000 0.0000
Pm1 Pm 0.0000 0.5000 0.5000
Er1 Er 0.0000 0.0000 0.5000
S1 S 0.0000 0.0000 0.2475
S2 S 0.0108 0.5054 0.2448
```

Most intense lines, 10° ≤ 2θ ≤ 90°, in order of falling intensity:
31.0°, intensity 100.0
26.9°, intensity 48.2
44.2°, intensity 36.5
44.7°, intensity 35.6
55.4°, intensity 18.6
26.5°, intensity 16.8
52.7°, intensity 16.5
73.2°, intensity 15.8
73.9°, intensity 15.7
13.4°, intensity 12.4
82.1°, intensity 11.9
64.7°, intensity 11.5

# 4
Li2MgPd2Au4: simulated X-ray diffraction stick pattern (Cu Kα), based on a DFT-relaxed cell (GGA-PBE, Alexandria).
Lines closer than 0.1° are merged.

Atomic structure:
```
data_Li2MgPd2Au4
_space_group_name_H-M_alt 'P -1'
_space_group_IT_number 2
_cell_length_a 4.9483
_cell_length_b 4.9991
_cell_length_c 6.3158
_cell_angle_alpha 74.02
_cell_angle_beta 82.60
_cell_angle_gamma 81.47
loop_
_space_group_symop_operation_xyz
'x,y,z'
'-x,-y,-z'
loop_
_atom_site_label
_atom_site_type_symbol
_atom_site_fract_x
_atom_site_fract_y
_atom_site_fract_z
Li1 Li 0.0670 0.2559 0.3644
Mg1 Mg 0.5000 0.5000 0.5000
Pd1 Pd 0.2808 0.3938 0.9349
Au1 Au 0.1623 0.8047 0.1820
Au2 Au 0.3830 0.9505 0.7182
```

Most intense lines, 10° ≤ 2θ ≤ 90°, in order of falling intensity:
38.4°, intensity 100.0
38.5°, intensity 50.3
39.2°, intensity 49.9
44.2°, intensity 32.8
45.2°, intensity 31.9
14.7°, intensity 31.2
45.4°, intensity 30.5
18.6°, intensity 26.2
25.0°, intensity 23.5
26.7°, intensity 21.0
29.6°, intensity 18.9
65.7°, intensity 18.6

# 5
In2HgPb6: simulated X-ray diffraction stick pattern (Cu Kα), based on a DFT-relaxed cell (GGA-PBE, Alexandria).
Lines closer than 0.1° are merged.

Atomic structure:
```
data_In2HgPb6
_space_group_name_H-M_alt 'P -6 m 2'
_space_group_IT_number 187
_space_group_name_Hall 'P -6 2'
_cell_length_a 3.4310
_cell_length_b 3.4310
_cell_length_c 27.0066
_cell_angle_alpha 90.00
_cell_angle_beta 90.00
_cell_angle_gamma 120.00
loop_
_atom_site_label
_atom_site_type_symbol
_atom_site_fract_x
_atom_site_fract_y
_atom_site_fract_z
In1 In 0.0000 0.0000 0.1715
Hg1 Hg 0.6667 0.3333 0.5000
Pb1 Pb 0.0000 0.0000 0.3924
Pb2 Pb 0.6667 0.3333 0.0622
Pb3 Pb 0.6667 0.3333 0.2820
```

Most intense lines, 10° ≤ 2θ ≤ 90°, in order of falling intensity:
34.4°, intensity 100.0
32.9°, intensity 65.2
29.8°, intensity 53.6
30.1°, intensity 48.4
62.3°, intensity 40.7
42.8°, intensity 35.0
53.4°, intensity 34.6
56.9°, intensity 34.0
65.1°, intensity 16.3
89.0°, intensity 15.1
86.1°, intensity 14.2
81.8°, intensity 12.5

# 6
ErInNi5: simulated X-ray diffraction stick pattern (Cu Kα), based on a DFT-relaxed cell (GGA-PBE, Alexandria).
Lines closer than 0.1° are merged.

Atomic structure:
```
data_ErInNi5
_space_group_name_H-M_alt 'P n m a'
_space_group_IT_number 62
_cell_length_a 8.0532
_cell_length_b 4.8234
_cell_length_c 10.2969
_cell_angle_alpha 90.00
_cell_angle_beta 90.00
_cell_angle_gamma 90.00
loop_
_space_group_symop_operation_xyz
'x,y,z'
'-x,-y,-z'
'-x+1/2,-y,z+1/2'
'x+1/2,y,-z+1/2'
'x+1/2,-y+1/2,-z+1/2'
'-x+1/2,y+1/2,z+1/2'
'-x,y+1/2,-z'
'x,-y+1/2,z'
loop_
_atom_site_label
_atom_site_type_symbol
_atom_site_fract_x
_atom_site_fract_y
_atom_site_fract_z
Er1 Er 0.2481 0.2500 0.0612
In1 In 0.1373 0.2500 0.3632
Ni1 Ni 0.0463 0.2500 0.6046
Ni2 Ni 0.0666 0.5010 0.8110
Ni3 Ni 0.0835 0.7500 0.0167
Ni4 Ni 0.1893 0.7500 0.2405
```

Most intense lines, 10° ≤ 2θ ≤ 90°, in order of falling intensity:
39.4°, intensity 100.0
39.2°, intensity 82.6
45.9°, intensity 62.3
36.6°, intensity 44.4
47.4°, intensity 40.8
37.3°, intensity 40.1
32.0°, intensity 38.9
44.7°, intensity 33.9
33.9°, intensity 28.7
68.7°, intensity 27.7
37.8°, intensity 26.4
45.5°, intensity 25.0

# 7
Dy3ErN4: simulated X-ray diffraction stick pattern (Cu Kα), based on a DFT-relaxed cell (GGA-PBE, Alexandria).
Lines closer than 0.1° are merged.

Atomic structure:
```
data_Dy3ErN4
_space_group_name_H-M_alt 'P 1 2/c 1'
_space_group_IT_number 13
_cell_length_a 5.9957
_cell_length_b 6.9266
_cell_length_c 5.9955
_cell_angle_alpha 90.00
_cell_angle_beta 109.46
_cell_angle_gamma 90.00
loop_
_space_group_symop_operation_xyz
'x,y,z'
'-x,-y,-z'
'-x,y,-z+1/2'
'x,-y,z+1/2'
loop_
_atom_site_label
_atom_site_type_symbol
_atom_site_fract_x
_atom_site_fract_y
_atom_site_fract_z
Dy1 Dy 0.0000 0.1244 0.2500
Dy2 Dy 0.0000 0.3747 0.7500
Dy3 Dy 0.5000 0.3747 0.2500
Er1 Er 0.5000 0.1243 0.7500
N1 N 0.2506 0.3743 0.5012
N2 N 0.2521 0.1234 0.9997
```

Most intense lines, 10° ≤ 2θ ≤ 90°, in order of falling intensity:
31.7°, intensity 100.0
36.7°, intensity 71.1
52.9°, intensity 48.9
63.0°, intensity 44.5
89.5°, intensity 22.5
86.7°, intensity 19.3
66.1°, intensity 16.4
78.1°, intensity 7.6

# 8
Tb8InCu2: simulated X-ray diffraction stick pattern (Cu Kα), based on a DFT-relaxed cell (GGA-PBE, Alexandria).
Lines closer than 0.1° are merged.

Atomic structure:
```
data_Tb8InCu2
_space_group_name_H-M_alt 'C 1 2/m 1'
_space_group_IT_number 12
_cell_length_a 17.0212
_cell_length_b 5.0016
_cell_length_c 7.7103
_cell_angle_alpha 90.00
_cell_angle_beta 114.16
_cell_angle_gamma 90.00
loop_
_space_group_symop_operation_xyz
'x,y,z'
'-x,-y,-z'
'-x,y,-z'
'x,-y,z'
'x+1/2,y+1/2,z'
'-x+1/2,-y+1/2,-z'
'-x+1/2,y+1/2,-z'
'x+1/2,-y+1/2,z'
loop_
_atom_site_label
_atom_site_type_symbol
_atom_site_fract_x
_atom_site_fract_y
_atom_site_fract_z
Tb1 Tb 0.0481 0.0000 0.2567
Tb2 Tb 0.0974 0.5000 0.9731
Tb3 Tb 0.1830 0.0000 0.7820
Tb4 Tb 0.1846 0.5000 0.4805
In1 In 0.0000 0.5000 0.5000
Cu1 Cu 0.1903 0.0000 0.1520
```

Most intense lines, 10° ≤ 2θ ≤ 90°, in order of falling intensity:
31.8°, intensity 100.0
33.5°, intensity 57.5
35.9°, intensity 49.7
29.6°, intensity 44.5
35.7°, intensity 25.6
31.0°, intensity 22.5
30.5°, intensity 19.0
51.6°, intensity 18.1
62.0°, intensity 15.0
60.7°, intensity 14.7
63.2°, intensity 14.6
34.7°, intensity 12.1

# 9
Sm4Rh: simulated X-ray diffraction stick pattern (Cu Kα), based on a DFT-relaxed cell (GGA-PBE, Alexandria).
Lines closer than 0.1° are merged.

Atomic structure:
```
data_Sm4Rh
_space_group_name_H-M_alt 'I -4 2 d'
_space_group_IT_number 122
_space_group_name_Hall 'I -4 2bw'
_cell_length_a 8.6822
_cell_length_b 8.6822
_cell_length_c 8.3357
_cell_angle_alpha 90.00
_cell_angle_beta 90.00
_cell_angle_gamma 90.00
loop_
_atom_site_label
_atom_site_type_symbol
_atom_site_fract_x
_atom_site_fract_y
_atom_site_fract_z
Sm1 Sm 0.0056 0.6990 0.4159
Rh1 Rh 0.0000 0.0000 0.5000
```

Most intense lines, 10° ≤ 2θ ≤ 90°, in order of falling intensity:
29.7°, intensity 100.0
32.8°, intensity 53.1
33.9°, intensity 39.8
29.1°, intensity 33.3
38.9°, intensity 27.9
41.6°, intensity 21.7
53.9°, intensity 20.9
20.5°, intensity 15.8
50.1°, intensity 15.4
52.0°, intensity 15.2
39.3°, intensity 14.1
55.3°, intensity 13.5

# 10
Pm3Y2Ho6Sc: simulated X-ray diffraction stick pattern (Cu Kα), based on a DFT-relaxed cell (GGA-PBE, Alexandria).
Lines closer than 0.1° are merged.

Atomic structure:
```
data_Pm3Y2Ho6Sc
_space_group_name_H-M_alt 'C 1 2/m 1'
_space_group_IT_number 12
_cell_length_a 6.1431
_cell_length_b 10.6350
_cell_length_c 11.7272
_cell_angle_alpha 90.00
_cell_angle_beta 100.03
_cell_angle_gamma 90.00
loop_
_space_group_symop_operation_xyz
'x,y,z'
'-x,-y,-z'
'-x,y,-z'
'x,-y,z'
'x+1/2,y+1/2,z'
'-x+1/2,-y+1/2,-z'
'-x+1/2,y+1/2,-z'
'x+1/2,-y+1/2,z'
loop_
_atom_site_label
_atom_site_type_symbol
_atom_site_fract_x
_atom_site_fract_y
_atom_site_fract_z
Pm1 Pm 0.0000 0.0000 0.0000
Pm2 Pm 0.0000 0.3334 0.0000
Y1 Y 0.0000 0.1665 0.5000
Ho1 Ho 0.2463 0.3349 0.7452
Ho2 Ho 0.2490 0.5000 0.2545
Sc1 Sc 0.0000 0.5000 0.5000
```

Most intense lines, 10° ≤ 2θ ≤ 90°, in order of falling intensity:
30.9°, intensity 100.0
35.8°, intensity 67.3
61.3°, intensity 42.1
30.9°, intensity 33.6
51.5°, intensity 23.9
51.7°, intensity 23.4
61.5°, intensity 13.7
84.2°, intensity 11.7
86.9°, intensity 10.9
87.1°, intensity 10.5
64.4°, intensity 8.1
76.0°, intensity 7.4

# 11
Nd3As6Pd20: simulated X-ray diffraction stick pattern (Cu Kα), based on a DFT-relaxed cell (GGA-PBE, Alexandria).
Lines closer than 0.1° are merged.

Atomic structure:
```
data_Nd3As6Pd20
_space_group_name_H-M_alt 'F m -3 m'
_space_group_IT_number 225
_space_group_name_Hall '-F 4 2 3'
_cell_length_a 12.6496
_cell_length_b 12.6496
_cell_length_c 12.6496
_cell_angle_alpha 90.00
_cell_angle_beta 90.00
_cell_angle_gamma 90.00
loop_
_atom_site_label
_atom_site_type_symbol
_atom_site_fract_x
_atom_site_fract_y
_atom_site_fract_z
Nd1 Nd 0.0000 0.0000 0.0000
Nd2 Nd 0.2500 0.2500 0.2500
As1 As 0.0000 0.0000 0.2637
Pd1 Pd 0.0000 0.1748 0.1748
Pd2 Pd 0.1160 0.1160 0.3840
```

Most intense lines, 10° ≤ 2θ ≤ 90°, in order of falling intensity:
36.9°, intensity 100.0
40.3°, intensity 50.7
42.3°, intensity 27.2
73.3°, intensity 26.6
62.3°, intensity 25.5
47.7°, intensity 24.4
34.7°, intensity 23.0
31.6°, intensity 14.7
63.7°, intensity 13.7
42.9°, intensity 13.0
74.7°, intensity 8.6
58.4°, intensity 7.4

# 12
LaCe2PrTl4: simulated X-ray diffraction stick pattern (Cu Kα), based on a DFT-relaxed cell (GGA-PBE, Alexandria).
Lines closer than 0.1° are merged.

Atomic structure:
```
data_LaCe2PrTl4
_space_group_name_H-M_alt 'R -3 m'
_space_group_IT_number 166
_space_group_name_Hall '-R 3 2"'
_cell_length_a 5.5655
_cell_length_b 5.5655
_cell_length_c 27.2516
_cell_angle_alpha 90.00
_cell_angle_beta 90.00
_cell_angle_gamma 120.00
loop_
_atom_site_label
_atom_site_type_symbol
_atom_site_fract_x
_atom_site_fract_y
_atom_site_fract_z
La1 La 0.0000 0.0000 0.0000
Ce1 Ce 0.0000 0.0000 0.2500
Pr1 Pr 0.0000 0.0000 0.5000
Tl1 Tl 0.0000 0.0000 0.1257
Tl2 Tl 0.0000 0.0000 0.3756
```

Most intense lines, 10° ≤ 2θ ≤ 90°, in order of falling intensity:
32.2°, intensity 100.0
57.4°, intensity 39.1
46.1°, intensity 18.6
76.6°, intensity 16.8
67.3°, intensity 12.1
85.5°, intensity 4.3
22.6°, intensity 3.6
52.0°, intensity 1.8
39.7°, intensity 1.2
72.0°, intensity 0.9
81.1°, intensity 0.5